(1)
Starting from the GGA-PBE geometry in Alexandria, the PXRD pattern of Sm12Tl3Cu was calculated for Cu Kα X-rays.
Lines closer than 0.1° are merged.

The 10 most intense peaks (5° ≤ 2θ ≤ 70°), sorted by position:
Position (°2θ)  I (rel.)  index
29.1  2.0  1 1 3
31.6  100.0  1 1 4
36.5  34.9  2 0 0
37.1  15.3  0 0 8
52.5  12.3  2 2 0
53.0  22.0  2 0 8
58.7  2.0  1 1 11
62.6  28.4  3 1 4
63.4  11.5  1 1 12
66.0  11.4  2 2 8

Structural model:
```
data_Sm12Tl3Cu
_symmetry_space_group_name_H-M 'P 4/m m m'
_symmetry_Int_Tables_number 123
_symmetry_space_group_name_Hall '-P 4 2'
_cell_length_a 4.9282
_cell_length_b 4.9282
_cell_length_c 19.4063
_cell_angle_alpha 90.00
_cell_angle_beta 90.00
_cell_angle_gamma 90.00
loop_
_atom_site_label
_atom_site_type_symbol
_atom_site_fract_x
_atom_site_fract_y
_atom_site_fract_z
Sm1 Sm 0.0000 0.0000 0.0000
Sm2 Sm 0.0000 0.0000 0.2419
Sm3 Sm 0.0000 0.0000 0.5000
Sm4 Sm 0.0000 0.5000 0.1161
Sm5 Sm 0.0000 0.5000 0.3716
Tl1 Tl 0.5000 0.5000 0.2452
Tl2 Tl 0.5000 0.5000 0.5000
Cu1 Cu 0.5000 0.5000 0.0000
```



(2)
Starting from the GGA-PBE geometry in Alexandria, the PXRD pattern of Sm3TlCu2 was calculated for Cu Kα X-rays.
Lines closer than 0.1° are merged.

The 10 most intense peaks (5° ≤ 2θ ≤ 70°), sorted by position:
Position (°2θ)  I (rel.)  index
22.4  16.8  1 0 4
27.2  100.0  1 1 3
28.8  27.9  2 0 2
36.0  94.1  1 1 6
36.7  14.9  2 1 1
37.6  19.9  1 2 2
38.6  20.0  0 1 8
41.5  57.0  3 0 0
47.5  21.9  1 1 9
56.1  23.4  2 2 6

Structural model:
```
data_Sm3TlCu2
_symmetry_space_group_name_H-M 'R -3 c'
_symmetry_Int_Tables_number 167
_symmetry_space_group_name_Hall '-R 3 2"c'
_cell_length_a 7.5316
_cell_length_b 7.5316
_cell_length_c 20.0008
_cell_angle_alpha 90.00
_cell_angle_beta 90.00
_cell_angle_gamma 120.00
loop_
_atom_site_label
_atom_site_type_symbol
_atom_site_fract_x
_atom_site_fract_y
_atom_site_fract_z
Sm1 Sm 0.0000 0.2842 0.2500
Tl1 Tl 0.0000 0.0000 0.0000
Cu1 Cu 0.0000 0.0000 0.1456
```



(3)
Starting from the GGA-PBE geometry in Alexandria, the PXRD pattern of SmTm2Cu9 was calculated for Cu Kα X-rays.
Lines closer than 0.1° are merged.

The 10 most intense peaks (5° ≤ 2θ ≤ 70°), sorted by position:
Position (°2θ)  I (rel.)  index
32.3  43.7  1 0 7
34.6  50.2  1 1 0
35.3  28.2  0 1 8
40.4  36.1  0 2 1
41.2  100.0  1 1 6
44.0  13.2  0 0 12
44.4  14.6  2 0 5
45.2  13.4  0 1 11
60.6  14.7  2 1 7
66.6  23.0  3 0 6

Structural model:
```
data_SmTm2Cu9
_symmetry_space_group_name_H-M 'R -3 m'
_symmetry_Int_Tables_number 166
_symmetry_space_group_name_Hall '-R 3 2"'
_cell_length_a 5.1791
_cell_length_b 5.1791
_cell_length_c 24.6729
_cell_angle_alpha 90.00
_cell_angle_beta 90.00
_cell_angle_gamma 120.00
loop_
_atom_site_label
_atom_site_type_symbol
_atom_site_fract_x
_atom_site_fract_y
_atom_site_fract_z
Sm1 Sm 0.0000 0.0000 0.0000
Tm1 Tm 0.0000 0.0000 0.1427
Cu1 Cu 0.0000 0.0000 0.3325
Cu2 Cu 0.0000 0.0000 0.5000
Cu3 Cu 0.9996 0.4998 0.0831
```



(4)
Starting from the GGA-PBE geometry in Alexandria, the PXRD pattern of SmTmZnCu was calculated for Cu Kα X-rays.
Lines closer than 0.1° are merged.

The 10 most intense peaks (5° ≤ 2θ ≤ 70°), sorted by position:
Position (°2θ)  I (rel.)  index
25.0  9.8  0 0 2
25.3  18.5  1 0 0
35.9  100.0  1 0 2
36.1  50.3  1 1 0
44.4  8.8  1 1 2
51.4  8.3  0 0 4
52.0  17.6  2 0 0
58.1  4.5  1 0 4
64.4  16.7  1 1 4
64.8  34.9  2 1 2

Structural model:
```
data_SmTmZnCu
_symmetry_space_group_name_H-M 'P 4 m m'
_symmetry_Int_Tables_number 99
_symmetry_space_group_name_Hall 'P 4 -2'
_cell_length_a 3.5190
_cell_length_b 3.5190
_cell_length_c 7.1159
_cell_angle_alpha 90.00
_cell_angle_beta 90.00
_cell_angle_gamma 90.00
loop_
_atom_site_label
_atom_site_type_symbol
_atom_site_fract_x
_atom_site_fract_y
_atom_site_fract_z
Sm1 Sm 0.0000 0.0000 0.0000
Tm1 Tm 0.0000 0.0000 0.4868
Zn1 Zn 0.5000 0.5000 0.7297
Cu1 Cu 0.5000 0.5000 0.2667
```



(5)
Starting from the GGA-PBE geometry in Alexandria, the PXRD pattern of Sm2YCu2 was calculated for Cu Kα X-rays.
Lines closer than 0.1° are merged.

The 10 most intense peaks (5° ≤ 2θ ≤ 70°), sorted by position:
Position (°2θ)  I (rel.)  index
24.7  19.0  2 1 0
32.6  33.8  2 0 1
34.5  100.0  2 1 1
35.2  43.2  3 1 0
46.5  11.1  4 1 0
48.3  12.9  0 0 2
52.8  13.0  4 1 1
54.1  14.7  3 3 1
61.2  16.8  3 1 2
67.4  13.2  5 2 1

Structural model:
```
data_Sm2YCu2
_symmetry_space_group_name_H-M 'P 4/m b m'
_symmetry_Int_Tables_number 127
_symmetry_space_group_name_Hall '-P 4 2ab'
_cell_length_a 8.0546
_cell_length_b 8.0546
_cell_length_c 3.7660
_cell_angle_alpha 90.00
_cell_angle_beta 90.00
_cell_angle_gamma 90.00
loop_
_atom_site_label
_atom_site_type_symbol
_atom_site_fract_x
_atom_site_fract_y
_atom_site_fract_z
Sm1 Sm 0.1658 0.3342 0.0000
Y1 Y 0.0000 0.0000 0.5000
Cu1 Cu 0.1211 0.6211 0.5000
```



(6)
Starting from the GGA-PBE geometry in Alexandria, the PXRD pattern of Sm2YCu3 was calculated for Cu Kα X-rays.
Lines closer than 0.1° are merged.

The 10 most intense peaks (5° ≤ 2θ ≤ 70°), sorted by position:
Position (°2θ)  I (rel.)  index
25.1  5.9  0 0 3
25.3  11.5  1 0 0
36.0  100.0  1 0 3
36.1  49.7  1 1 0
44.5  5.2  1 1 3
51.6  8.6  0 0 6
52.0  17.1  2 0 0
58.7  4.9  2 0 3
64.6  17.1  1 1 6
64.9  34.2  2 1 3

Structural model:
```
data_Sm2YCu3
_symmetry_space_group_name_H-M 'P 4/m m m'
_symmetry_Int_Tables_number 123
_symmetry_space_group_name_Hall '-P 4 2'
_cell_length_a 3.5149
_cell_length_b 3.5149
_cell_length_c 10.6228
_cell_angle_alpha 90.00
_cell_angle_beta 90.00
_cell_angle_gamma 90.00
loop_
_atom_site_label
_atom_site_type_symbol
_atom_site_fract_x
_atom_site_fract_y
_atom_site_fract_z
Sm1 Sm 0.0000 0.0000 0.1686
Y1 Y 0.0000 0.0000 0.5000
Cu1 Cu 0.5000 0.5000 0.0000
Cu2 Cu 0.5000 0.5000 0.3396
```